Diffraction record for AcUO4. The XRD peak list is computed, not measured: it uses a crystal structure in Alexandria, relaxed with GGA-PBE and a wavelength of 1.5418 Å.
Kinematic intensities with the Lorentz-polarization factor, no thermal factor.

Peak list (10 most intense, 10 to 80 degrees two-theta, most intense first)
two_theta  d (Å)  I_rel
27.4  3.261  100
31.8  2.811  74
27.5  3.248  50
27.7  3.216  47
45.9  1.978  47
45.5  1.995  33
54.1  1.695  31
54.0  1.699  24
54.5  1.685  24
45.3  2.002  17

Cell and atoms:
a = 3.990 Å, b = 3.990 Å, c = 6.833 Å
α = 106.98°, β = 106.98°, γ = 60.25°
Atoms (fractional coordinates):
Ac  0.000  0.000  0.000
U  0.500  0.500  0.500
O  0.136  0.136  0.407
O  0.389  0.389  0.166
O  0.611  0.611  0.834
O  0.864  0.864  0.593